1.
Diffraction record for Dy3Ga2Pd6. The powder diffractogram is simulated, not measured: it uses DFT lattice parameters and positions (PBE) and Cu Kα X-rays.

The 12 most intense peaks (5 to 70 degrees two-theta), sorted by position:
d = 6.697 Å, I = 11
d = 3.349 Å, I = 5
d = 2.995 Å, I = 23
d = 2.734 Å, I = 15
d = 2.531 Å, I = 26
d = 2.368 Å, I = 16
d = 2.232 Å, I = 100
d = 2.118 Å, I = 7
d = 1.624 Å, I = 8
d = 1.579 Å, I = 10
d = 1.536 Å, I = 16
d = 1.428 Å, I = 14

Cell and atoms:
a b c (Å): 8.2023 8.2023 8.2023
angles (deg): 109.47 109.47 109.47
Element x y z (fractional)
Dy 0.0000 0.2941 0.2941
Dy 0.0000 0.7059 0.7059
Dy 0.2941 0.0000 0.2941
Dy 0.2941 0.2941 0.0000
Dy 0.7059 0.0000 0.7059
Dy 0.7059 0.7059 0.0000
Ga 0.0000 0.0000 0.5000
Ga 0.0000 0.5000 0.0000
Ga 0.5000 0.0000 0.0000
Ga 0.5000 0.5000 0.5000
Pd 0.0000 0.3314 0.6686
Pd 0.0000 0.6686 0.3314
Pd 0.3314 0.0000 0.6686
Pd 0.3314 0.3314 0.6627
Pd 0.3314 0.6627 0.3314
Pd 0.3314 0.6686 0.0000
Pd 0.3373 0.6686 0.6686
Pd 0.6627 0.3314 0.3314
Pd 0.6686 0.0000 0.3314
Pd 0.6686 0.3314 0.0000
Pd 0.6686 0.3373 0.6686
Pd 0.6686 0.6686 0.3373

***

2.
Diffraction record for Y5SnTe4. The powder diffractogram is simulated, not measured: it uses DFT lattice parameters and positions (PBE) and Cu Kα X-rays.

The 12 most intense peaks (5 to 70 degrees two-theta), sorted by position:
d = 3.576 Å, I = 6
d = 3.103 Å, I = 100
d = 3.087 Å, I = 50
d = 2.194 Å, I = 37
d = 2.188 Å, I = 75
d = 1.870 Å, I = 3
d = 1.863 Å, I = 1
d = 1.788 Å, I = 39
d = 1.551 Å, I = 12
d = 1.543 Å, I = 6
d = 1.387 Å, I = 33
d = 1.382 Å, I = 17

Cell and atoms:
a b c (Å): 7.5936 7.5936 7.5936
angles (deg): 99.51 99.51 132.03
Element x y z (fractional)
Y 0.0000 0.0000 0.0000
Y 0.2094 0.4001 0.6095
Y 0.4001 0.7906 0.1908
Y 0.5999 0.2094 0.8092
Y 0.7906 0.5999 0.3905
Sn 0.5000 0.5000 0.0000
Te 0.0965 0.6970 0.7936
Te 0.3030 0.0965 0.3995
Te 0.6970 0.9035 0.6005
Te 0.9035 0.3030 0.2064

***

3.
Diffraction record for Cs2Tb6Te7N2. The powder diffractogram is simulated, not measured: it uses DFT lattice parameters and positions (PBE) and Cu Kα X-rays.

The 12 most intense peaks (5 to 70 degrees two-theta), sorted by position:
d = 11.812 Å, I = 36
d = 9.308 Å, I = 46
d = 7.279 Å, I = 36
d = 3.659 Å, I = 42
d = 3.427 Å, I = 100
d = 3.159 Å, I = 50
d = 2.957 Å, I = 66
d = 2.918 Å, I = 73
d = 2.839 Å, I = 40
d = 2.577 Å, I = 43
d = 2.281 Å, I = 63
d = 2.123 Å, I = 55

Cell and atoms:
a b c (Å): 12.3555 12.3555 11.4923
angles (deg): 103.75 103.75 19.79
Element x y z (fractional)
Cs 0.0650 0.0650 0.1997
Cs 0.9350 0.9350 0.8003
Tb 0.1644 0.1644 0.8879
Tb 0.2148 0.2148 0.6302
Tb 0.4086 0.4086 0.3647
Tb 0.5914 0.5914 0.6353
Tb 0.7852 0.7852 0.3698
Tb 0.8356 0.8356 0.1121
Te 0.0000 0.0000 0.5000
Te 0.2418 0.2418 0.1610
Te 0.3352 0.3352 0.5579
Te 0.4238 0.4238 0.0973
Te 0.5762 0.5762 0.9027
Te 0.6648 0.6648 0.4421
Te 0.7582 0.7582 0.8390
N 0.1373 0.1373 0.6929
N 0.8627 0.8627 0.3071